Structure and theoretical X-ray diffraction stick pattern of DyMn2 (a crystal structure in the Materials Project, relaxed with PBE; Cu Ka).
Neutral-atom scattering factors, no anomalous dispersion.

abc: 8.615 5.384 5.072
angles: 90.00 120.97 90.00
Space group C2/m (No. 12)
Inequivalent atoms, fractional coordinates:
Dy 0.127 0.000 0.373 (multiplicity 4)
Mn 0.000 0.500 0.000 (multiplicity 2)
Mn 0.000 0.500 0.500 (multiplicity 2)
Mn 0.250 0.250 0.000 (multiplicity 4)

Peak list (12 most intense, 10° ≤ 2θ ≤ 80°, in order of rising 2θ)
2θ = 20.41°, d = 4.350 Å, I 27, hkl 1 1 0
2θ = 33.26°, d = 2.694 Å, I 72, hkl 1 1 1
2θ = 35.50°, d = 2.529 Å, I 61, hkl 3 1 -1
2θ = 39.34°, d = 2.290 Å, I 50, hkl 2 0 1
2θ = 40.33°, d = 2.237 Å, I 100, hkl 3 1 0
2θ = 41.52°, d = 2.175 Å, I 17, hkl 0 0 2
2θ = 42.24°, d = 2.140 Å, I 38, hkl 4 0 -1
2θ = 59.43°, d = 1.555 Å, I 14, hkl 2 0 2
2θ = 60.86°, d = 1.522 Å, I 17, hkl 4 2 0
2θ = 64.19°, d = 1.451 Å, I 12, hkl 4 0 1
2θ = 65.68°, d = 1.422 Å, I 13, hkl 3 3 -2
2θ = 69.83°, d = 1.347 Å, I 23, hkl 2 2 2